Mg2BiAsO6: calculated X-ray diffraction stick pattern (Cu Kα), based on a DFT-relaxed cell (GGA-PBE, Alexandria).
Kinematic intensities with the Lorentz-polarization factor, no thermal factor.

Peak list (10 most intense, 10° ≤ 2θ ≤ 80°, sorted by position)
13.1 deg, d 6.743, I = 61, (1 1 0); 21.6 deg, d 4.112, I = 41, (0 2 1); 22.2 deg, d 4.006, I = 35, (2 0 0); 29.2 deg, d 3.060, I = 100, (1 3 1); 31.2 deg, d 2.869, I = 83, (2 2 1); 32.8 deg, d 2.733, I = 22, (0 0 2); 43.5 deg, d 2.079, I = 19, (0 6 0); 48.2 deg, d 1.888, I = 18, (3 1 2); 50.8 deg, d 1.796, I = 24, (1 5 2); 61.1 deg, d 1.517, I = 18, (3 5 2)

Crystal structure
```
data_Mg2BiAsO6
_cell_length_a 8.012
_cell_length_b 12.485
_cell_length_c 5.465
_cell_angle_alpha 90.00
_cell_angle_beta 90.00
_cell_angle_gamma 90.00
_symmetry_space_group_name_H-M 'C m c m'
_symmetry_Int_Tables_number 63
_symmetry_space_group_name_Hall '-C 2c 2'
loop_
_atom_site_label
_atom_site_type_symbol
_atom_site_fract_x
_atom_site_fract_y
_atom_site_fract_z
_atom_site_occupancy
Mg1 Mg 0.196 0.092 0.250 1
Bi1 Bi 0.000 0.408 0.250 1
As1 As 0.000 0.198 0.750 1
O1 O 0.000 0.117 0.007 1
O2 O 0.170 0.500 0.000 1
O3 O 0.177 0.272 0.750 1
```

LiTbGe2Pt2: calculated X-ray diffraction stick pattern (Cu Kα), based on a DFT-relaxed cell (GGA-PBE, Alexandria).
Kinematic intensities with the Lorentz-polarization factor, no thermal factor.

Peak list (10 most intense, 10° ≤ 2θ ≤ 80°, sorted by position)
27.3 deg, d 3.263, I = 100, (1 0 1); 27.5 deg, d 3.242, I = 17, (0 0 2); 36.5 deg, d 2.460, I = 88, (0 1 2); 41.4 deg, d 2.180, I = 93, (1 1 0); 41.8 deg, d 2.162, I = 17, (0 0 3); 50.3 deg, d 1.813, I = 19, (0 2 1); 50.4 deg, d 1.809, I = 20, (1 1 2); 56.4 deg, d 1.631, I = 25, (2 0 2); 60.3 deg, d 1.535, I = 35, (1 1 3); 72.3 deg, d 1.306, I = 24, (1 2 2)

Crystal structure
```
data_LiTbGe2Pt2
_cell_length_a 4.3597
_cell_length_b 4.3597
_cell_length_c 6.4848
_cell_angle_alpha 90.00
_cell_angle_beta 90.00
_cell_angle_gamma 120.00
_symmetry_space_group_name_H-M 'P -3 m 1'
_symmetry_Int_Tables_number 164
_symmetry_space_group_name_Hall '-P 3 2"'
loop_
_atom_site_label
_atom_site_type_symbol
_atom_site_fract_x
_atom_site_fract_y
_atom_site_fract_z
_atom_site_occupancy
Li1 Li 0.0000 0.0000 0.0000 1
Tb1 Tb 0.0000 0.0000 0.5000 1
Ge1 Ge 0.3333 0.6667 0.7967 1
Pt1 Pt 0.3333 0.6667 0.2114 1
```

NaNp3: calculated X-ray diffraction stick pattern (Cu Kα), based on a DFT-relaxed cell (GGA-PBE, Alexandria).
Kinematic intensities with the Lorentz-polarization factor, no thermal factor.

Peak list (10 most intense, 10° ≤ 2θ ≤ 80°, sorted by position)
21.4 deg, d 4.159, I = 26, (1 0 1); 34.2 deg, d 2.622, I = 100, (1 1 2); 37.2 deg, d 2.414, I = 40, (2 0 0); 43.3 deg, d 2.088, I = 9, (2 1 1); 44.2 deg, d 2.048, I = 12, (0 0 4); 53.7 deg, d 1.707, I = 14, (2 2 0); 59.2 deg, d 1.562, I = 21, (2 0 4); 65.2 deg, d 1.431, I = 32, (3 1 2); 72.0 deg, d 1.311, I = 12, (2 2 4); 74.9 deg, d 1.268, I = 11, (1 1 6)

Crystal structure
```
data_NaNp3
_cell_length_a 4.828
_cell_length_b 4.828
_cell_length_c 8.192
_cell_angle_alpha 90.00
_cell_angle_beta 90.00
_cell_angle_gamma 90.00
_symmetry_space_group_name_H-M 'I 4/m m m'
_symmetry_Int_Tables_number 139
_symmetry_space_group_name_Hall '-I 4 2'
loop_
_atom_site_label
_atom_site_type_symbol
_atom_site_fract_x
_atom_site_fract_y
_atom_site_fract_z
_atom_site_occupancy
Na1 Na 0.000 0.000 0.000 1
Np1 Np 0.000 0.000 0.500 1
Np2 Np 0.000 0.500 0.250 1
```

Gd2TmPu: calculated X-ray diffraction stick pattern (Cu Kα), based on a DFT-relaxed cell (GGA-PBE, Alexandria).
Kinematic intensities with the Lorentz-polarization factor, no thermal factor.

Peak list (10 most intense, 10° ≤ 2θ ≤ 80°, sorted by position)
19.6 deg, d 4.537, I = 2, (1 1 1); 22.6 deg, d 3.929, I = 2, (2 0 0); 32.2 deg, d 2.778, I = 100, (2 2 0); 38.0 deg, d 2.369, I = 1, (3 1 1); 39.7 deg, d 2.268, I = 1, (2 2 2); 46.2 deg, d 1.965, I = 19, (4 0 0); 52.0 deg, d 1.757, I = 1, (4 2 0); 57.5 deg, d 1.604, I = 39, (4 2 2); 67.4 deg, d 1.389, I = 12, (4 4 0); 76.7 deg, d 1.242, I = 17, (6 2 0)

Crystal structure
```
data_Gd2TmPu
_cell_length_a 7.858
_cell_length_b 7.858
_cell_length_c 7.858
_cell_angle_alpha 90.00
_cell_angle_beta 90.00
_cell_angle_gamma 90.00
_symmetry_space_group_name_H-M 'F m -3 m'
_symmetry_Int_Tables_number 225
_symmetry_space_group_name_Hall '-F 4 2 3'
loop_
_atom_site_label
_atom_site_type_symbol
_atom_site_fract_x
_atom_site_fract_y
_atom_site_fract_z
_atom_site_occupancy
Gd1 Gd 0.250 0.250 0.250 1
Tm1 Tm 0.000 0.000 0.000 1
Pu1 Pu 0.000 0.000 0.500 1
```

LiSm2PuAu4: calculated X-ray diffraction stick pattern (Cu Kα), based on a DFT-relaxed cell (GGA-PBE, Alexandria).
Kinematic intensities with the Lorentz-polarization factor, no thermal factor.

Peak list (10 most intense, 10° ≤ 2θ ≤ 80°, sorted by position)
10.7 deg, d 8.241, I = 12, (0 0 3); 20.5 deg, d 4.343, I = 12, (1 0 1); 35.2 deg, d 2.547, I = 100, (1 1 0); 35.5 deg, d 2.531, I = 96, (0 1 8); 50.9 deg, d 1.795, I = 35, (2 0 8); 63.2 deg, d 1.470, I = 19, (3 0 0); 63.4 deg, d 1.467, I = 37, (1 2 8); 63.8 deg, d 1.458, I = 17, (1 0 16); 74.5 deg, d 1.273, I = 12, (2 2 0); 75.1 deg, d 1.266, I = 11, (0 2 16)

Crystal structure
```
data_LiSm2PuAu4
_cell_length_a 5.0935
_cell_length_b 5.0935
_cell_length_c 24.7230
_cell_angle_alpha 90.00
_cell_angle_beta 90.00
_cell_angle_gamma 120.00
_symmetry_space_group_name_H-M 'R -3 m'
_symmetry_Int_Tables_number 166
_symmetry_space_group_name_Hall '-R 3 2"'
loop_
_atom_site_label
_atom_site_type_symbol
_atom_site_fract_x
_atom_site_fract_y
_atom_site_fract_z
_atom_site_occupancy
Li1 Li 0.0000 0.0000 0.0000 1
Sm1 Sm 0.0000 0.0000 0.2550 1
Pu1 Pu 0.0000 0.0000 0.5000 1
Au1 Au 0.0000 0.0000 0.1234 1
Au2 Au 0.0000 0.0000 0.3770 1
```

Li7HgPb2: calculated X-ray diffraction stick pattern (Cu Kα), based on a DFT-relaxed cell (GGA-PBE, Alexandria).
Kinematic intensities with the Lorentz-polarization factor, no thermal factor.

Peak list (10 most intense, 10° ≤ 2θ ≤ 80°, sorted by position)
17.7 deg, d 5.011, I = 18, (0 0 2); 23.4 deg, d 3.796, I = 100, (1 0 1); 28.1 deg, d 3.174, I = 49, (0 1 2); 34.6 deg, d 2.590, I = 31, (1 0 3); 38.0 deg, d 2.368, I = 36, (1 1 0); 42.2 deg, d 2.139, I = 37, (0 1 4); 45.1 deg, d 2.009, I = 18, (0 2 1); 47.9 deg, d 1.898, I = 12, (2 0 2); 60.5 deg, d 1.531, I = 32, (1 1 5); 71.6 deg, d 1.318, I = 13, (1 2 4)

Crystal structure
```
data_Li7HgPb2
_cell_length_a 4.7362
_cell_length_b 4.7362
_cell_length_c 10.0226
_cell_angle_alpha 90.00
_cell_angle_beta 90.00
_cell_angle_gamma 120.00
_symmetry_space_group_name_H-M 'P 3 m 1'
_symmetry_Int_Tables_number 156
_symmetry_space_group_name_Hall 'P 3 -2"'
loop_
_atom_site_label
_atom_site_type_symbol
_atom_site_fract_x
_atom_site_fract_y
_atom_site_fract_z
_atom_site_occupancy
Li1 Li 0.0000 0.0000 0.0000 1
Li2 Li 0.0000 0.0000 0.2386 1
Li3 Li 0.0000 0.0000 0.4774 1
Li4 Li 0.3333 0.6667 0.0352 1
Li5 Li 0.3333 0.6667 0.6760 1
Li6 Li 0.6667 0.3333 0.5515 1
Li7 Li 0.6667 0.3333 0.8516 1
Hg1 Hg 0.6667 0.3333 0.1446 1
Pb1 Pb 0.0000 0.0000 0.7388 1
Pb2 Pb 0.3333 0.6667 0.3475 1
```

Mg5CdIn2Pd2: calculated X-ray diffraction stick pattern (Cu Kα), based on a DFT-relaxed cell (GGA-PBE, Alexandria).
Kinematic intensities with the Lorentz-polarization factor, no thermal factor.

Peak list (10 most intense, 10° ≤ 2θ ≤ 80°, sorted by position)
22.8 deg, d 3.899, I = 41, (0 0 1); 24.3 deg, d 3.662, I = 9, (2 2 0); 27.2 deg, d 3.275, I = 43, (3 1 0); 33.6 deg, d 2.669, I = 14, (2 2 1); 35.8 deg, d 2.509, I = 100, (3 1 1); 38.9 deg, d 2.314, I = 31, (4 2 0); 41.9 deg, d 2.157, I = 9, (4 0 1); 46.6 deg, d 1.949, I = 15, (0 0 2); 54.8 deg, d 1.675, I = 12, (3 1 2); 55.4 deg, d 1.657, I = 10, (4 4 1)

Crystal structure
```
data_Mg5CdIn2Pd2
_cell_length_a 10.357
_cell_length_b 10.357
_cell_length_c 3.899
_cell_angle_alpha 90.00
_cell_angle_beta 90.00
_cell_angle_gamma 90.00
_symmetry_space_group_name_H-M 'P 4/m b m'
_symmetry_Int_Tables_number 127
_symmetry_space_group_name_Hall '-P 4 2ab'
loop_
_atom_site_label
_atom_site_type_symbol
_atom_site_fract_x
_atom_site_fract_y
_atom_site_fract_z
_atom_site_occupancy
Mg1 Mg 0.000 0.500 0.000 1
Mg2 Mg 0.077 0.206 0.000 1
Cd1 Cd 0.000 0.000 0.500 1
In1 In 0.170 0.670 0.500 1
Pd1 Pd 0.125 0.375 0.500 1
```

Ti2Zn3Rh2: calculated X-ray diffraction stick pattern (Cu Kα), based on a DFT-relaxed cell (GGA-PBE, Alexandria).
Kinematic intensities with the Lorentz-polarization factor, no thermal factor.

Peak list (10 most intense, 10° ≤ 2θ ≤ 80°, sorted by position)
27.8 deg, d 3.206, I = 22, (2 0 -2); 37.9 deg, d 2.374, I = 39, (2 0 -3); 40.3 deg, d 2.239, I = 68, (0 2 0); 41.4 deg, d 2.181, I = 82, (3 1 -1); 41.7 deg, d 2.164, I = 31, (3 1 -2); 43.1 deg, d 2.100, I = 100, (1 1 2); 56.5 deg, d 1.629, I = 23, (2 2 -3); 74.0 deg, d 1.281, I = 14, (3 3 -1); 75.2 deg, d 1.264, I = 18, (1 3 2); 77.4 deg, d 1.233, I = 17, (5 1 -5)

Crystal structure
```
data_Ti2Zn3Rh2
_cell_length_a 7.610
_cell_length_b 4.478
_cell_length_c 7.195
_cell_angle_alpha 90.00
_cell_angle_beta 120.44
_cell_angle_gamma 90.00
_symmetry_space_group_name_H-M 'C 1 2/m 1'
_symmetry_Int_Tables_number 12
_symmetry_space_group_name_Hall '-C 2y'
loop_
_atom_site_label
_atom_site_type_symbol
_atom_site_fract_x
_atom_site_fract_y
_atom_site_fract_z
_atom_site_occupancy
Ti1 Ti 0.243 0.000 0.165 1
Zn1 Zn 0.000 0.500 0.000 1
Zn2 Zn 0.184 0.500 0.403 1
Rh1 Rh 0.055 0.000 0.755 1
```

K2CoReSb: calculated X-ray diffraction stick pattern (Cu Kα), based on a DFT-relaxed cell (GGA-PBE, Alexandria).
Kinematic intensities with the Lorentz-polarization factor, no thermal factor.

Peak list (10 most intense, 10° ≤ 2θ ≤ 80°, sorted by position)
13.3 deg, d 6.654, I = 100, (1 0 0); 18.9 deg, d 4.705, I = 63, (1 1 0); 26.8 deg, d 3.327, I = 69, (2 0 0); 30.0 deg, d 2.976, I = 30, (2 1 0); 38.3 deg, d 2.353, I = 27, (2 2 0); 40.5 deg, d 2.225, I = 19, (1 1 2); 45.1 deg, d 2.012, I = 33, (2 0 2); 47.2 deg, d 1.926, I = 17, (2 1 2); 53.2 deg, d 1.721, I = 20, (2 2 2); 62.4 deg, d 1.489, I = 20, (4 2 0)

Crystal structure
```
data_K2CoReSb
_cell_length_a 6.654
_cell_length_b 6.654
_cell_length_c 5.051
_cell_angle_alpha 90.00
_cell_angle_beta 90.00
_cell_angle_gamma 90.00
_symmetry_space_group_name_H-M 'P 4/m m m'
_symmetry_Int_Tables_number 123
_symmetry_space_group_name_Hall '-P 4 2'
loop_
_atom_site_label
_atom_site_type_symbol
_atom_site_fract_x
_atom_site_fract_y
_atom_site_fract_z
_atom_site_occupancy
K1 K 0.000 0.500 0.000 1
Co1 Co 0.000 0.000 0.500 1
Re1 Re 0.500 0.500 0.000 1
Sb1 Sb 0.500 0.500 0.500 1
```

BaSm3Pa4N12: calculated X-ray diffraction stick pattern (Cu Kα), based on a DFT-relaxed cell (GGA-PBE, Alexandria).
Kinematic intensities with the Lorentz-polarization factor, no thermal factor.

Peak list (10 most intense, 10° ≤ 2θ ≤ 80°, sorted by position)
20.7 deg, d 4.301, I = 7, (2 0 0); 29.4 deg, d 3.041, I = 100, (2 2 0); 36.2 deg, d 2.483, I = 1, (2 2 2); 42.0 deg, d 2.151, I = 23, (4 0 0); 47.3 deg, d 1.924, I = 4, (4 2 0); 52.1 deg, d 1.756, I = 45, (4 2 2); 60.9 deg, d 1.521, I = 15, (4 4 0); 65.1 deg, d 1.434, I = 2, (4 4 2); 69.1 deg, d 1.360, I = 19, (6 2 0); 76.8 deg, d 1.242, I = 5, (4 4 4)

Crystal structure
```
data_BaSm3Pa4N12
_cell_length_a 8.602
_cell_length_b 8.602
_cell_length_c 8.602
_cell_angle_alpha 90.00
_cell_angle_beta 90.00
_cell_angle_gamma 90.00
_symmetry_space_group_name_H-M 'I m -3'
_symmetry_Int_Tables_number 204
_symmetry_space_group_name_Hall '-I 2 2 3'
loop_
_atom_site_label
_atom_site_type_symbol
_atom_site_fract_x
_atom_site_fract_y
_atom_site_fract_z
_atom_site_occupancy
Ba1 Ba 0.000 0.000 0.000 1
Sm1 Sm 0.000 0.000 0.500 1
Pa1 Pa 0.250 0.250 0.250 1
N1 N 0.000 0.205 0.301 1
```

Y4TmTh2: calculated X-ray diffraction stick pattern (Cu Kα), based on a DFT-relaxed cell (GGA-PBE, Alexandria).
Kinematic intensities with the Lorentz-polarization factor, no thermal factor.

Peak list (10 most intense, 10° ≤ 2θ ≤ 80°, sorted by position)
16.3 deg, d 5.441, I = 19, (0 0 2); 24.5 deg, d 3.628, I = 16, (0 0 3); 29.6 deg, d 3.021, I = 34, (1 1 -1); 29.7 deg, d 3.007, I = 42, (2 0 0); 31.5 deg, d 2.840, I = 15, (2 0 -2); 32.2 deg, d 2.777, I = 100, (1 1 -2); 32.9 deg, d 2.721, I = 40, (0 0 4); 34.8 deg, d 2.581, I = 79, (1 1 2); 35.5 deg, d 2.531, I = 16, (2 0 -3); 62.2 deg, d 1.492, I = 18, (0 2 4)

Crystal structure
```
data_Y4TmTh2
_cell_length_a 6.100
_cell_length_b 3.568
_cell_length_c 11.036
_cell_angle_alpha 90.00
_cell_angle_beta 99.57
_cell_angle_gamma 90.00
_symmetry_space_group_name_H-M 'P 1 2/m 1'
_symmetry_Int_Tables_number 10
_symmetry_space_group_name_Hall '-P 2y'
loop_
_atom_site_label
_atom_site_type_symbol
_atom_site_fract_x
_atom_site_fract_y
_atom_site_fract_z
_atom_site_occupancy
Y1 Y 0.078 0.000 0.208 1
Y2 Y 0.408 0.500 0.743 1
Tm1 Tm 0.500 0.000 0.000 1
Th1 Th 0.000 0.500 0.500 1
Th2 Th 0.500 0.000 0.500 1
```

Repeat the second record exactly.
LiTbGe2Pt2: calculated X-ray diffraction stick pattern (Cu Kα), based on a DFT-relaxed cell (GGA-PBE, Alexandria).
Kinematic intensities with the Lorentz-polarization factor, no thermal factor.

Peak list (10 most intense, 10° ≤ 2θ ≤ 80°, sorted by position)
27.3 deg, d 3.263, I = 100, (1 0 1); 27.5 deg, d 3.242, I = 17, (0 0 2); 36.5 deg, d 2.460, I = 88, (0 1 2); 41.4 deg, d 2.180, I = 93, (1 1 0); 41.8 deg, d 2.162, I = 17, (0 0 3); 50.3 deg, d 1.813, I = 19, (0 2 1); 50.4 deg, d 1.809, I = 20, (1 1 2); 56.4 deg, d 1.631, I = 25, (2 0 2); 60.3 deg, d 1.535, I = 35, (1 1 3); 72.3 deg, d 1.306, I = 24, (1 2 2)

Crystal structure
```
data_LiTbGe2Pt2
_cell_length_a 4.3597
_cell_length_b 4.3597
_cell_length_c 6.4848
_cell_angle_alpha 90.00
_cell_angle_beta 90.00
_cell_angle_gamma 120.00
_symmetry_space_group_name_H-M 'P -3 m 1'
_symmetry_Int_Tables_number 164
_symmetry_space_group_name_Hall '-P 3 2"'
loop_
_atom_site_label
_atom_site_type_symbol
_atom_site_fract_x
_atom_site_fract_y
_atom_site_fract_z
_atom_site_occupancy
Li1 Li 0.0000 0.0000 0.0000 1
Tb1 Tb 0.0000 0.0000 0.5000 1
Ge1 Ge 0.3333 0.6667 0.7967 1
Pt1 Pt 0.3333 0.6667 0.2114 1
```